Structure and simulated powder diffractogram of Li2MnSiO4 (a PBE+U-relaxed structure; Cu Kα).
Intensities are scaled so that the largest is 1000.

Largest 10 diffraction maxima, low angle first, 2θ from 10° to 90°:
2θ (°)	d (Å)	I_rel	(hkl)
16.29	5.441	404	0 1 0
24.05	3.701	1000	0 1 1
27.98	3.189	393	2 0 0
32.55	2.751	507	2 1 0
32.92	2.721	274	0 2 0
35.56	2.524	461	0 0 2
37.22	2.416	381	2 1 1
47.48	1.915	198	2 2 1
58.55	1.577	271	2 3 0
64.96	1.436	247	2 1 3

Structure:
abc: 6.3771 5.4415 5.0487
angles: 90.00 90.00 90.00
Space group Pmn2_1 (No. 31)
Symmetry-distinct sites (fractional):
1 Li 0.2491 0.1689 0.0000 x4
2 Mn 0.0000 0.3339 0.4974 x2
3 Si 0.0000 0.6795 0.0068 x2
4 O 0.0000 0.3866 0.9125 x2
5 O 0.0000 0.6879 0.3341 x2
6 O 0.2118 0.8206 0.8940 x4